Entry 1:
Starting from a crystal structure in Alexandria, relaxed with PBE, the X-ray powder pattern of TbTlCuBr5 was computed for Cu Kα (weighted mean of Kα1 and Kα2).

The 12 most intense peaks (10 to 90 degrees two-theta), sorted by position:
2θ/deg	I_rel
18.6	100
20.9	56
23.3	35
23.9	38
26.4	41
27.1	60
30.0	31
34.3	31
36.2	55
38.5	35
40.8	31
44.2	45

Structure:
abc: 7.757 7.757 10.537
angles: 103.71 103.71 106.70
Element x y z (fractional)
Tb (0.000, 0.000, 0.000)
Tb (0.000, 0.000, 0.500)
Tl (0.358, 0.642, 0.750)
Tl (0.642, 0.358, 0.250)
Cu (0.309, 0.691, 0.250)
Cu (0.691, 0.309, 0.750)
Br (0.083, 0.917, 0.750)
Br (0.089, 0.683, 0.384)
Br (0.243, 0.382, 0.070)
Br (0.317, 0.911, 0.116)
Br (0.382, 0.243, 0.570)
Br (0.618, 0.757, 0.430)
Br (0.683, 0.089, 0.884)
Br (0.757, 0.618, 0.930)
Br (0.911, 0.317, 0.616)
Br (0.917, 0.083, 0.250)

=====

Entry 2:
Starting from a crystal structure in Alexandria, relaxed with PBE, the X-ray powder pattern of Cu3Te2Br2 was computed for Cu Kα (weighted mean of Kα1 and Kα2).

The 12 most intense peaks (10 to 90 degrees two-theta), sorted by position:
2θ/deg	I_rel
13.1	62
26.4	57
28.6	65
29.0	77
29.4	100
30.5	30
35.6	48
36.8	33
40.8	70
44.0	52
48.5	87
52.4	42

Structure:
abc: 7.704 7.704 6.600
angles: 113.75 113.75 31.01
Element x y z (fractional)
Cu (0.000, 0.000, 0.000)
Cu (0.362, 0.362, 0.421)
Cu (0.638, 0.638, 0.579)
Te (0.080, 0.080, 0.711)
Te (0.920, 0.920, 0.289)
Br (0.360, 0.360, 0.778)
Br (0.640, 0.640, 0.222)

=====

Entry 3:
Starting from a crystal structure in Alexandria, relaxed with PBE, the X-ray powder pattern of CuTeBr was computed for Cu Kα (weighted mean of Kα1 and Kα2).

The 12 most intense peaks (10 to 90 degrees two-theta), sorted by position:
2θ/deg	I_rel
15.0	100
23.6	97
28.1	98
28.3	80
31.1	29
31.9	32
41.1	36
41.7	30
44.0	72
47.4	39
47.8	45
48.3	54

Structure:
abc: 16.474 12.070 11.799
angles: 87.28 47.04 45.67
Element x y z (fractional)
Cu (0.011, 0.739, 0.011)
Cu (0.125, 0.125, 0.125)
Cu (0.261, 0.989, 0.261)
Cu (0.375, 0.375, 0.375)
Cu (0.625, 0.625, 0.625)
Cu (0.739, 0.011, 0.739)
Cu (0.875, 0.875, 0.875)
Cu (0.989, 0.261, 0.989)
Te (0.023, 0.329, 0.615)
Te (0.329, 0.023, 0.533)
Te (0.385, 0.467, 0.977)
Te (0.467, 0.385, 0.671)
Te (0.533, 0.615, 0.329)
Te (0.615, 0.533, 0.023)
Te (0.671, 0.977, 0.467)
Te (0.977, 0.671, 0.385)
Br (0.122, 0.756, 0.496)
Br (0.127, 0.496, 0.756)
Br (0.244, 0.878, 0.873)
Br (0.496, 0.127, 0.122)
Br (0.504, 0.873, 0.878)
Br (0.756, 0.122, 0.127)
Br (0.873, 0.504, 0.244)
Br (0.878, 0.244, 0.504)

=====

Entry 4:
Starting from a crystal structure in Alexandria, relaxed with PBE, the X-ray powder pattern of CuTeBr3 was computed for Cu Kα (weighted mean of Kα1 and Kα2).

The 12 most intense peaks (10 to 90 degrees two-theta), sorted by position:
2θ/deg	I_rel
11.0	27
14.8	40
17.8	30
18.7	100
24.3	39
27.5	51
30.5	29
31.1	24
35.6	28
40.4	22
41.1	24
46.6	23

Structure:
abc: 6.961 7.418 8.073
angles: 88.77 83.89 66.73
Element x y z (fractional)
Cu (0.100, 0.370, 0.155)
Cu (0.900, 0.630, 0.845)
Te (0.433, 0.851, 0.456)
Te (0.567, 0.149, 0.544)
Br (0.125, 0.052, 0.256)
Br (0.219, 0.350, 0.859)
Br (0.316, 0.437, 0.350)
Br (0.684, 0.563, 0.650)
Br (0.781, 0.650, 0.141)
Br (0.875, 0.948, 0.744)

=====

Entry 5:
Starting from a crystal structure in Alexandria, relaxed with PBE, the X-ray powder pattern of Cu2TeBr8 was computed for Cu Kα (weighted mean of Kα1 and Kα2).

The 12 most intense peaks (10 to 90 degrees two-theta), sorted by position:
2θ/deg	I_rel
12.4	98
17.3	52
17.8	17
21.6	17
24.9	22
27.1	50
28.8	100
29.1	20
34.6	40
43.6	72
44.1	24
47.2	16

Structure:
abc: 8.325 8.325 6.703
angles: 94.12 94.12 59.14
Element x y z (fractional)
Cu (0.168, 0.168, 0.432)
Cu (0.832, 0.832, 0.568)
Te (0.000, 0.000, 0.000)
Br (0.146, 0.693, 0.743)
Br (0.155, 0.155, 0.794)
Br (0.307, 0.854, 0.257)
Br (0.327, 0.327, 0.433)
Br (0.673, 0.673, 0.567)
Br (0.693, 0.146, 0.743)
Br (0.845, 0.845, 0.206)
Br (0.854, 0.307, 0.257)

=====

Entry 6:
Starting from a crystal structure in Alexandria, relaxed with PBE, the X-ray powder pattern of TlCuTeBr6 was computed for Cu Kα (weighted mean of Kα1 and Kα2).

The 12 most intense peaks (10 to 90 degrees two-theta), sorted by position:
2θ/deg	I_rel
18.1	41
18.2	100
20.1	95
26.3	49
27.6	95
33.6	72
34.3	29
37.8	31
38.5	43
39.0	43
45.1	44
46.6	31

Structure:
abc: 6.796 7.242 7.501
angles: 87.16 63.15 83.65
Element x y z (fractional)
Tl (0.000, 0.000, 0.000)
Cu (0.612, 0.498, 0.778)
Te (0.321, 0.501, 0.359)
Br (0.022, 0.791, 0.386)
Br (0.313, 0.318, 0.041)
Br (0.405, 0.684, 0.632)
Br (0.594, 0.211, 0.385)
Br (0.646, 0.683, 0.041)
Br (0.965, 0.316, 0.633)